(1)
# CaHoZn2
Simulated powder diffraction line list, λ = 1.5418 Å (Cu Kα). Input: the GGA-PBE geometry in the Materials Project.
Neutral-atom scattering factors, no anomalous dispersion.

Principal peaks in the range 5° ≤ 2θ ≤ 70°, low angle first:
d (Å)	I_rel
4.151	27
3.595	4
2.542	100
2.168	15
2.075	1
1.797	17
1.649	7
1.608	2
1.468	35
1.384	5

Cell and atoms:
```
CaHoZn2
1.0
7.189 0.000 0.000
0.000 7.189 0.000
0.000 0.000 7.189
Ca Ho Zn
4 4 8
Cartesian
0.000 0.000 0.000
0.000 3.595 3.595
3.595 0.000 3.595
3.595 3.595 0.000
0.000 0.000 3.595
0.000 3.595 0.000
3.595 0.000 0.000
3.595 3.595 3.595
1.797 1.797 1.797
1.797 1.797 5.392
1.797 5.392 1.797
1.797 5.392 5.392
5.392 1.797 1.797
5.392 1.797 5.392
5.392 5.392 1.797
5.392 5.392 5.392
```

***

(2)
# LiCr4InS8
Simulated powder diffraction line list, λ = 1.5418 Å (Cu Kα). Input: the GGA-PBE geometry in the Materials Project.
Neutral-atom scattering factors, no anomalous dispersion.

Principal peaks in the range 5° ≤ 2θ ≤ 70°, low angle first:
d (Å)	I_rel
5.851	73
5.106	21
3.569	17
3.125	33
3.073	69
2.553	100
1.964	22
1.950	19
1.826	47
1.785	49

Cell and atoms:
```
LiCr4InS8
1.0
3.569 2.061 6.037
-3.569 2.061 6.037
0.000 -4.122 6.037
Li Cr In S
1 4 1 8
Cartesian
0.000 0.000 0.000
0.000 -2.126 9.823
-1.841 1.063 9.823
0.000 0.000 13.531
1.841 1.063 9.823
0.000 0.000 6.720
0.000 -1.976 5.072
-1.711 0.988 5.072
0.000 0.000 2.491
-1.734 -1.001 8.469
1.711 0.988 5.072
0.000 0.000 11.143
1.734 -1.001 8.469
0.000 2.002 8.469
```

***

(3)
# TmHfOs2
Simulated powder diffraction line list, λ = 1.5418 Å (Cu Kα). Input: the GGA-PBE geometry in the Materials Project.
Neutral-atom scattering factors, no anomalous dispersion.

Principal peaks in the range 5° ≤ 2θ ≤ 70°, low angle first:
d (Å)	I_rel
2.336	100
1.652	17
1.349	36

Cell and atoms:
```
TmHfOs2
1.0
6.608 0.000 0.000
0.000 6.608 0.000
0.000 0.000 6.608
Tm Hf Os
4 4 8
Cartesian
0.000 0.000 0.000
0.000 3.304 3.304
3.304 0.000 3.304
3.304 3.304 0.000
0.000 0.000 3.304
0.000 3.304 0.000
3.304 0.000 0.000
3.304 3.304 3.304
1.652 1.652 1.652
1.652 1.652 4.956
1.652 4.956 1.652
1.652 4.956 4.956
4.956 1.652 1.652
4.956 1.652 4.956
4.956 4.956 1.652
4.956 4.956 4.956
```

***

(4)
# CeMgPd
Simulated powder diffraction line list, λ = 1.5418 Å (Cu Kα). Input: the GGA-PBE geometry in the Materials Project.
Neutral-atom scattering factors, no anomalous dispersion.

Principal peaks in the range 5° ≤ 2θ ≤ 70°, low angle first:
d (Å)	I_rel
3.814	33
3.303	23
2.787	75
2.568	100
2.497	23
2.202	27
2.130	24
2.041	21
1.672	23
1.421	22

Cell and atoms:
```
CeMgPd
1.0
7.628 0.000 0.000
-3.814 6.606 0.000
0.000 0.000 4.083
Ce Mg Pd
3 3 3
Cartesian
-2.225 3.854 0.000
1.589 2.752 0.000
4.450 0.000 0.000
-0.909 1.575 2.041
1.818 0.000 2.041
2.905 5.031 2.041
0.000 0.000 0.000
0.000 4.404 2.041
3.814 2.202 2.041
```

***

(5)
# SrLiO3
Simulated powder diffraction line list, λ = 1.5418 Å (Cu Kα). Input: the GGA-PBE geometry in the Materials Project.
Neutral-atom scattering factors, no anomalous dispersion.

Principal peaks in the range 5° ≤ 2θ ≤ 70°, low angle first:
d (Å)	I_rel
3.909	80
2.764	91
2.257	100
1.955	54
1.748	37
1.596	37
1.382	31

Cell and atoms:
```
SrLiO3
1.0
3.909 0.000 0.000
0.000 3.909 0.000
0.000 0.000 3.909
Sr Li O
1 1 3
Cartesian
0.000 0.000 0.000
1.955 1.955 1.955
0.000 1.955 1.955
1.955 0.000 1.955
1.955 1.955 0.000
```

***

(6)
# Na3YZnP2SO12
Simulated powder diffraction line list, λ = 1.5418 Å (Cu Kα). Input: the GGA-PBE geometry in the Materials Project.
Neutral-atom scattering factors, no anomalous dispersion.

Principal peaks in the range 5° ≤ 2θ ≤ 70°, low angle first:
d (Å)	I_rel
6.508	33
4.686	40
4.603	100
3.988	31
3.947	29
2.977	68
2.941	62
2.907	51
2.660	88
1.742	30

Cell and atoms:
```
Na3YZnP2SO12
1.0
7.981 -4.609 0.000
7.981 4.609 0.000
-5.109 0.000 7.642
Na Y Zn P S O
6 2 2 4 2 24
Cartesian
5.427 3.999 3.821
2.957 2.440 5.689
5.777 0.636 0.020
3.223 -0.636 3.841
5.512 -2.440 1.868
7.981 -3.999 0.000
8.456 2.275 1.705
5.901 -2.275 5.526
2.974 2.383 2.389
0.420 -2.383 6.210
0.515 0.446 4.014
3.069 -0.446 0.193
10.796 0.874 4.118
13.350 -0.874 0.297
5.961 0.975 3.995
8.515 -0.975 0.174
-2.273 0.456 6.587
6.783 3.025 0.286
1.797 1.310 3.859
0.282 -0.456 2.766
3.254 0.450 1.453
9.769 3.281 0.265
4.633 1.642 3.989
0.699 -0.450 5.274
6.677 1.198 2.709
4.352 -1.310 0.038
6.731 1.505 5.139
8.282 0.501 0.263
5.728 -0.501 4.084
10.051 1.488 2.910
7.187 -1.642 0.168
4.123 -1.198 6.530
10.041 1.181 5.439
4.228 -3.025 4.107
13.576 0.651 0.149
9.286 -1.505 1.318
7.497 -1.488 6.731
11.021 -0.651 3.970
7.215 -3.281 4.086
12.596 -1.181 1.618
```

***

(7)
# K2CdSe2O10
Simulated powder diffraction line list, λ = 1.5418 Å (Cu Kα). Input: the GGA-PBE geometry in the Materials Project.
Neutral-atom scattering factors, no anomalous dispersion.

Principal peaks in the range 5° ≤ 2θ ≤ 70°, low angle first:
d (Å)	I_rel
6.907	70
5.650	94
3.916	49
3.795	39
3.597	70
3.370	100
3.212	78
3.089	47
2.837	63
1.746	30

Cell and atoms:
```
K2CdSe2O10
1.0
6.943 0.000 0.000
2.420 6.978 0.000
2.822 1.503 10.482
K Cd Se O
4 2 4 20
Cartesian
2.341 2.016 0.871
4.758 5.667 4.476
7.427 2.814 6.006
9.844 6.465 9.611
3.950 1.316 7.940
8.235 7.165 2.542
3.857 5.539 0.804
3.594 2.171 4.310
8.591 6.310 6.173
8.328 2.942 9.678
2.442 3.232 3.784
3.430 6.580 2.077
2.547 4.653 0.312
3.105 1.506 5.780
5.734 5.891 7.844
7.241 8.023 10.031
5.229 3.311 7.686
3.728 0.907 3.191
5.113 2.910 4.460
5.136 4.576 1.307
7.049 3.905 9.175
7.072 5.571 6.022
8.457 7.574 7.291
6.956 5.171 2.797
4.945 0.458 0.451
6.451 2.590 2.638
9.080 6.975 4.702
9.639 3.828 10.170
8.755 1.901 8.406
9.743 5.249 6.698
```